Record 1
The following is a calculated X-ray diffraction stick pattern of Ca2Ge2Au3. It was derived from a crystal structure in Alexandria, relaxed with GGA-PBE, using Cu Kα (λ = 1.5418 Å).
Neutral-atom scattering factors, no anomalous dispersion.

Most intense lines, 2θ = 5–70°, in order of rising 2θ:
d_spacing	2θ (°)	I_rel
5.037	17.61	65
3.923	22.66	79
2.734	32.76	83
2.471	36.36	32
2.320	38.81	100
2.147	42.09	46

Crystal structure
Lattice parameters (Å, degrees): 10.6661 4.2938 7.2118 90.00 115.13 90.00
Fractional coordinates of all 14 atoms:
Ca 0.1368 0.0000 0.2621
Ca 0.3632 0.5000 0.7379
Ca 0.6368 0.5000 0.2621
Ca 0.8632 0.0000 0.7379
Ge 0.1497 0.0000 0.7106
Ge 0.3503 0.5000 0.2894
Ge 0.6497 0.5000 0.7106
Ge 0.8503 0.0000 0.2894
Au 0.0000 0.5000 0.5000
Au 0.1135 0.5000 0.9385
Au 0.3865 0.0000 0.0615
Au 0.5000 0.0000 0.5000
Au 0.6135 0.0000 0.9385
Au 0.8865 0.5000 0.0615

***

Record 2
The following is a calculated X-ray diffraction stick pattern of Ca6Ge7Au15. It was derived from a crystal structure in Alexandria, relaxed with GGA-PBE, using Cu Kα (λ = 1.5418 Å).
Neutral-atom scattering factors, no anomalous dispersion.

Most intense lines, 2θ = 5–70°, in order of rising 2θ:
d_spacing	2θ (°)	I_rel
4.823	18.39	48
2.663	33.66	89
2.640	33.95	100
2.259	39.91	83
2.231	40.43	51
2.071	43.70	40

Crystal structure
Lattice parameters (Å, degrees): 9.6472 4.5173 13.3832 90.00 90.74 90.00
Fractional coordinates of all 28 atoms:
Ca 0.0000 0.0000 0.0000
Ca 0.0008 0.0000 0.3748
Ca 0.0128 0.0000 0.6894
Ca 0.4947 0.5000 0.8722
Ca 0.4977 0.5000 0.1876
Ca 0.5023 0.5000 0.4984
Ge 0.1496 0.5000 0.4984
Ge 0.2255 0.5000 0.3089
Ge 0.3464 0.0000 0.0049
Ge 0.6514 0.0000 0.3744
Ge 0.7391 0.0000 0.5641
Ge 0.7703 0.5000 0.0666
Ge 0.8509 0.5000 0.8733
Au 0.1107 0.5000 0.8444
Au 0.2015 0.0000 0.1841
Au 0.2383 0.5000 0.0498
Au 0.2604 0.0000 0.5442
Au 0.2884 0.0000 0.8146
Au 0.2967 0.5000 0.6797
Au 0.3906 0.0000 0.3462
Au 0.5079 0.0000 0.6748
Au 0.6078 0.0000 0.0262
Au 0.7043 0.5000 0.6920
Au 0.7411 0.0000 0.8292
Au 0.7581 0.5000 0.3283
Au 0.7968 0.0000 0.1905
Au 0.8904 0.5000 0.5293
Au 0.9982 0.5000 0.1878

***

Record 3
The following is a calculated X-ray diffraction stick pattern of Ca3Ge3Au8. It was derived from a crystal structure in Alexandria, relaxed with GGA-PBE, using Cu Kα (λ = 1.5418 Å).
Neutral-atom scattering factors, no anomalous dispersion.

Most intense lines, 2θ = 5–70°, in order of rising 2θ:
d_spacing	2θ (°)	I_rel
4.802	18.48	51
4.069	21.84	36
2.679	33.45	89
2.633	34.06	100
2.261	39.87	39
2.246	40.15	81

Crystal structure
Lattice parameters (Å, degrees): 9.6067 4.4922 13.5720 90.00 91.53 90.00
Fractional coordinates of all 28 atoms:
Ca 0.0000 0.0000 0.0000
Ca 0.0019 0.0000 0.6855
Ca 0.4913 0.5000 0.1830
Ca 0.5000 0.5000 0.5000
Ca 0.5087 0.5000 0.8170
Ca 0.9981 0.0000 0.3145
Ge 0.1553 0.5000 0.8080
Ge 0.2285 0.5000 0.6208
Ge 0.3469 0.0000 0.3172
Ge 0.6531 0.0000 0.6828
Ge 0.7715 0.5000 0.3792
Ge 0.8447 0.5000 0.1920
Au 0.0000 0.5000 0.5000
Au 0.1020 0.5000 0.1597
Au 0.2073 0.0000 0.4963
Au 0.2372 0.5000 0.3629
Au 0.2658 0.0000 0.8579
Au 0.2773 0.0000 0.1304
Au 0.2789 0.5000 0.9945
Au 0.3912 0.0000 0.6625
Au 0.5000 0.0000 0.0000
Au 0.6088 0.0000 0.3375
Au 0.7211 0.5000 0.0055
Au 0.7227 0.0000 0.8696
Au 0.7342 0.0000 0.1421
Au 0.7628 0.5000 0.6371
Au 0.7927 0.0000 0.5037
Au 0.8980 0.5000 0.8403

***

Record 4
The following is a calculated X-ray diffraction stick pattern of Ca2HoGe3Au12. It was derived from a crystal structure in Alexandria, relaxed with GGA-PBE, using Cu Kα (λ = 1.5418 Å).
Neutral-atom scattering factors, no anomalous dispersion.

Most intense lines, 2θ = 5–70°, in order of rising 2θ:
d_spacing	2θ (°)	I_rel
3.627	24.55	27
2.939	30.41	38
2.848	31.41	35
2.640	33.96	30
2.299	39.19	100
1.811	50.40	52

Crystal structure
Lattice parameters (Å, degrees): 7.9204 7.9204 7.9204 70.97 70.97 70.97
Fractional coordinates of all 18 atoms:
Ca 0.0968 0.0968 0.0968
Ca 0.9032 0.9032 0.9032
Ho 0.5000 0.5000 0.5000
Ge 0.0000 0.5000 0.5000
Ge 0.5000 0.0000 0.5000
Ge 0.5000 0.5000 0.0000
Au 0.1197 0.6581 0.6581
Au 0.1928 0.1928 0.6669
Au 0.1928 0.6669 0.1928
Au 0.3331 0.8072 0.8072
Au 0.3419 0.3419 0.8803
Au 0.3419 0.8803 0.3419
Au 0.6581 0.1197 0.6581
Au 0.6581 0.6581 0.1197
Au 0.6669 0.1928 0.1928
Au 0.8072 0.3331 0.8072
Au 0.8072 0.8072 0.3331
Au 0.8803 0.3419 0.3419

***

Record 5
The following is a calculated X-ray diffraction stick pattern of Ca3Ge2SbAu9. It was derived from a crystal structure in Alexandria, relaxed with GGA-PBE, using Cu Kα (λ = 1.5418 Å).
Neutral-atom scattering factors, no anomalous dispersion.

Most intense lines, 2θ = 5–70°, in order of rising 2θ:
d_spacing	2θ (°)	I_rel
4.796	18.50	58
3.108	28.72	100
2.472	36.34	22
2.398	37.50	87
2.040	44.40	55
1.554	59.49	22

Crystal structure
Lattice parameters (Å, degrees): 8.1610 8.1610 6.5296 90.00 90.00 120.00
Fractional coordinates of all 15 atoms:
Ca 0.0000 0.0000 0.0000
Ca 0.3333 0.6667 0.6573
Ca 0.6667 0.3333 0.3427
Ge 0.3333 0.6667 0.1451
Ge 0.6667 0.3333 0.8549
Sb 0.0000 0.0000 0.5000
Au 0.0000 0.5000 0.0000
Au 0.1716 0.3432 0.3140
Au 0.1716 0.8284 0.3140
Au 0.3432 0.1716 0.6860
Au 0.5000 0.0000 0.0000
Au 0.5000 0.5000 0.0000
Au 0.6568 0.8284 0.3140
Au 0.8284 0.1716 0.6860
Au 0.8284 0.6568 0.6860